This entry pairs a crystal structure of SmDyHo2Th with its calculated XRD peak list. Radiation: a wavelength of 1.5418 Å. Structure: a structure optimized by DFT (GGA-PBE).
No peak broadening, texture or thermal motion is included.

Top 10 peaks for 2θ from 10° to 90°, by angle:
| 2θ (°) | I/Imax |
| --- | --- |
| 15.80 | 16 |
| 20.49 | 17 |
| 30.95 | 16 |
| 31.65 | 100 |
| 31.91 | 40 |
| 32.69 | 19 |
| 34.93 | 26 |
| 36.50 | 26 |
| 56.70 | 19 |
| 61.86 | 21 |

Structural model:
Lattice parameters (Å, degrees): 3.535 5.609 8.667 90.00 90.00 90.00
Atoms (fractional coordinates):
Sm  0.000  0.000  0.000
Dy  0.500  0.000  0.500
Ho  0.000  0.500  0.321
Ho  0.000  0.500  0.679
Th  0.500  0.500  0.000



This entry pairs a crystal structure of SmDy5Ho2Tm with its calculated XRD peak list. Radiation: a wavelength of 1.5418 Å. Structure: a structure optimized by DFT (GGA-PBE).
No peak broadening, texture or thermal motion is included.

Top 10 peaks for 2θ from 10° to 90°, by angle:
| 2θ (°) | I/Imax |
| --- | --- |
| 28.43 | 19 |
| 30.42 | 39 |
| 32.07 | 42 |
| 32.58 | 100 |
| 34.06 | 13 |
| 43.38 | 12 |
| 51.53 | 11 |
| 57.49 | 21 |
| 60.26 | 14 |
| 62.00 | 13 |

Structural model:
Lattice parameters (Å, degrees): 10.255 10.255 10.529 90.00 90.00 148.42
Atoms (fractional coordinates):
Sm  0.085  0.915  0.500
Sm  0.915  0.085  0.000
Dy  0.021  0.979  0.784
Dy  0.113  0.887  0.067
Dy  0.201  0.799  0.754
Dy  0.219  0.781  0.357
Dy  0.482  0.518  0.068
Dy  0.518  0.482  0.568
Dy  0.781  0.219  0.857
Dy  0.799  0.201  0.254
Dy  0.887  0.113  0.567
Dy  0.979  0.021  0.284
Ho  0.386  0.614  0.363
Ho  0.389  0.611  0.781
Ho  0.611  0.389  0.281
Ho  0.614  0.386  0.863
Tm  0.301  0.699  0.057
Tm  0.699  0.301  0.557



This entry pairs a crystal structure of SmDy2HoTm5 with its calculated XRD peak list. Radiation: a wavelength of 1.5418 Å. Structure: a structure optimized by DFT (GGA-PBE).
No peak broadening, texture or thermal motion is included.

Top 10 peaks for 2θ from 10° to 90°, by angle:
| 2θ (°) | I/Imax |
| --- | --- |
| 28.60 | 53 |
| 29.16 | 49 |
| 31.86 | 100 |
| 32.06 | 15 |
| 34.41 | 12 |
| 37.24 | 20 |
| 38.41 | 15 |
| 42.68 | 16 |
| 52.75 | 19 |
| 58.72 | 13 |

Structural model:
Lattice parameters (Å, degrees): 9.590 9.590 9.590 125.19 125.19 81.22
Atoms (fractional coordinates):
Sm  0.250  0.250  0.000
Sm  0.750  0.750  0.000
Dy  0.113  0.613  0.726
Dy  0.387  0.113  0.500
Dy  0.613  0.887  0.500
Dy  0.887  0.387  0.274
Ho  0.250  0.750  0.500
Ho  0.750  0.250  0.500
Tm  0.000  0.000  0.000
Tm  0.073  0.161  0.500
Tm  0.161  0.661  0.089
Tm  0.339  0.427  0.500
Tm  0.427  0.927  0.089
Tm  0.500  0.500  0.000
Tm  0.573  0.073  0.911
Tm  0.661  0.573  0.500
Tm  0.839  0.339  0.911
Tm  0.927  0.839  0.500



This entry pairs a crystal structure of Sm2Dy4Ho2Tm with its calculated XRD peak list. Radiation: a wavelength of 1.5418 Å. Structure: a structure optimized by DFT (GGA-PBE).
No peak broadening, texture or thermal motion is included.

Top 10 peaks for 2θ from 10° to 90°, by angle:
| 2θ (°) | I/Imax |
| --- | --- |
| 28.99 | 37 |
| 31.30 | 49 |
| 32.03 | 100 |
| 33.74 | 85 |
| 40.40 | 16 |
| 50.99 | 38 |
| 55.05 | 22 |
| 58.37 | 17 |
| 61.05 | 44 |
| 87.28 | 18 |

Structural model:
Lattice parameters (Å, degrees): 9.473 9.473 9.521 115.26 115.26 21.81
Atoms (fractional coordinates):
Sm  0.148  0.148  0.166
Sm  0.852  0.852  0.834
Dy  0.185  0.185  0.832
Dy  0.482  0.482  0.170
Dy  0.518  0.518  0.830
Dy  0.815  0.815  0.168
Ho  0.334  0.334  0.499
Ho  0.666  0.666  0.501
Tm  0.000  0.000  0.500



This entry pairs a crystal structure of SmDy2YHo5 with its calculated XRD peak list. Radiation: a wavelength of 1.5418 Å. Structure: a structure optimized by DFT (GGA-PBE).
No peak broadening, texture or thermal motion is included.

Top 10 peaks for 2θ from 10° to 90°, by angle:
| 2θ (°) | I/Imax |
| --- | --- |
| 28.97 | 100 |
| 31.30 | 90 |
| 34.65 | 17 |
| 37.67 | 35 |
| 43.23 | 21 |
| 48.06 | 13 |
| 52.86 | 19 |
| 57.13 | 19 |
| 65.45 | 14 |
| 80.42 | 15 |

Structural model:
Lattice parameters (Å, degrees): 9.761 9.761 9.761 127.00 127.00 78.25
Atoms (fractional coordinates):
Sm  0.250  0.750  0.500
Sm  0.750  0.250  0.500
Dy  0.116  0.616  0.733
Dy  0.384  0.116  0.500
Dy  0.616  0.884  0.500
Dy  0.884  0.384  0.267
Y  0.250  0.250  0.000
Y  0.750  0.750  0.000
Ho  0.000  0.000  0.000
Ho  0.069  0.161  0.500
Ho  0.161  0.661  0.091
Ho  0.339  0.431  0.500
Ho  0.431  0.931  0.091
Ho  0.500  0.500  0.000
Ho  0.569  0.069  0.909
Ho  0.661  0.569  0.500
Ho  0.839  0.339  0.909
Ho  0.931  0.839  0.500



This entry pairs a crystal structure of SmDyYHo3 with its calculated XRD peak list. Radiation: a wavelength of 1.5418 Å. Structure: a structure optimized by DFT (GGA-PBE).
No peak broadening, texture or thermal motion is included.

Top 10 peaks for 2θ from 10° to 90°, by angle:
| 2θ (°) | I/Imax |
| --- | --- |
| 24.43 | 23 |
| 28.85 | 14 |
| 29.45 | 16 |
| 31.14 | 47 |
| 31.25 | 100 |
| 32.45 | 31 |
| 32.58 | 29 |
| 37.35 | 17 |
| 55.56 | 14 |
| 56.38 | 12 |

Structural model:
Lattice parameters (Å, degrees): 9.717 9.717 7.288 90.33 90.33 34.29
Atoms (fractional coordinates):
Sm  0.040  0.040  0.251
Sm  0.960  0.960  0.749
Dy  0.352  0.352  0.541
Dy  0.648  0.648  0.459
Y  0.352  0.352  0.962
Y  0.648  0.648  0.038
Ho  0.170  0.170  0.747
Ho  0.216  0.216  0.250
Ho  0.477  0.477  0.255
Ho  0.523  0.523  0.745
Ho  0.784  0.784  0.750
Ho  0.830  0.830  0.253



This entry pairs a crystal structure of Sm2Dy2Y6Ho with its calculated XRD peak list. Radiation: a wavelength of 1.5418 Å. Structure: a structure optimized by DFT (GGA-PBE).
No peak broadening, texture or thermal motion is included.

Top 10 peaks for 2θ from 10° to 90°, by angle:
| 2θ (°) | I/Imax |
| --- | --- |
| 30.76 | 30 |
| 30.86 | 24 |
| 31.52 | 39 |
| 32.12 | 100 |
| 33.89 | 19 |
| 44.70 | 18 |
| 46.96 | 15 |
| 56.52 | 26 |
| 62.20 | 16 |
| 62.87 | 13 |

Structural model:
Lattice parameters (Å, degrees): 6.660 6.660 10.579 90.00 90.00 129.55
Atoms (fractional coordinates):
Sm  0.134  0.866  0.000
Sm  0.866  0.134  0.000
Dy  0.206  0.794  0.500
Dy  0.794  0.206  0.500
Y  0.000  0.000  0.296
Y  0.000  0.000  0.704
Y  0.347  0.653  0.208
Y  0.347  0.653  0.792
Y  0.653  0.347  0.208
Y  0.653  0.347  0.792
Ho  0.500  0.500  0.500



This entry pairs a crystal structure of Sm2DyY2Ho2 with its calculated XRD peak list. Radiation: a wavelength of 1.5418 Å. Structure: a structure optimized by DFT (GGA-PBE).
No peak broadening, texture or thermal motion is included.

Top 10 peaks for 2θ from 10° to 90°, by angle:
| 2θ (°) | I/Imax |
| --- | --- |
| 31.36 | 100 |
| 31.46 | 99 |
| 45.02 | 37 |
| 55.75 | 19 |
| 55.97 | 58 |
| 65.43 | 13 |
| 65.68 | 12 |
| 74.41 | 16 |
| 74.58 | 16 |
| 83.18 | 6 |

Structural model:
Lattice parameters (Å, degrees): 8.801 8.801 8.801 37.70 37.70 37.70
Atoms (fractional coordinates):
Sm  0.214  0.214  0.214
Sm  0.786  0.786  0.786
Dy  0.500  0.500  0.500
Y  0.358  0.358  0.358
Y  0.642  0.642  0.642
Ho  0.070  0.070  0.070
Ho  0.930  0.930  0.930



This entry pairs a crystal structure of Sm5DyY2Ho with its calculated XRD peak list. Radiation: a wavelength of 1.5418 Å. Structure: a structure optimized by DFT (GGA-PBE).
No peak broadening, texture or thermal motion is included.

Top 10 peaks for 2θ from 10° to 90°, by angle:
| 2θ (°) | I/Imax |
| --- | --- |
| 27.81 | 17 |
| 30.07 | 34 |
| 31.63 | 38 |
| 32.01 | 100 |
| 33.70 | 13 |
| 42.62 | 11 |
| 46.89 | 10 |
| 56.58 | 21 |
| 58.98 | 12 |
| 61.06 | 12 |

Structural model:
Lattice parameters (Å, degrees): 10.481 10.481 10.639 90.00 90.00 148.69
Atoms (fractional coordinates):
Sm  0.018  0.982  0.500
Sm  0.281  0.719  0.790
Sm  0.298  0.702  0.185
Sm  0.389  0.611  0.502
Sm  0.481  0.519  0.221
Sm  0.519  0.481  0.721
Sm  0.611  0.389  0.002
Sm  0.702  0.298  0.685
Sm  0.719  0.281  0.290
Sm  0.982  0.018  0.000
Dy  0.411  0.589  0.939
Dy  0.589  0.411  0.439
Y  0.111  0.889  0.215
Y  0.115  0.885  0.796
Y  0.885  0.115  0.296
Y  0.889  0.111  0.715
Ho  0.200  0.800  0.489
Ho  0.800  0.200  0.989



This entry pairs a crystal structure of Tb4DyHo4 with its calculated XRD peak list. Radiation: a wavelength of 1.5418 Å. Structure: a structure optimized by DFT (GGA-PBE).
No peak broadening, texture or thermal motion is included.

Top 10 peaks for 2θ from 10° to 90°, by angle:
| 2θ (°) | I/Imax |
| --- | --- |
| 29.15 | 37 |
| 31.39 | 50 |
| 32.20 | 100 |
| 33.91 | 87 |
| 40.58 | 15 |
| 51.29 | 38 |
| 55.26 | 22 |
| 58.60 | 18 |
| 61.38 | 44 |
| 62.91 | 15 |

Structural model:
Lattice parameters (Å, degrees): 6.171 8.796 10.686 78.31 89.99 83.21
Atoms (fractional coordinates):
Tb  0.138  0.167  0.472
Tb  0.361  0.833  0.361
Tb  0.361  0.833  0.695
Tb  0.361  0.834  0.028
Tb  0.639  0.166  0.972
Tb  0.639  0.167  0.305
Tb  0.639  0.167  0.639
Tb  0.862  0.833  0.528
Dy  0.249  0.500  0.250
Dy  0.751  0.500  0.750
Ho  0.138  0.167  0.138
Ho  0.138  0.167  0.806
Ho  0.250  0.499  0.584
Ho  0.250  0.500  0.917
Ho  0.750  0.500  0.083
Ho  0.750  0.501  0.416
Ho  0.862  0.833  0.194
Ho  0.862  0.833  0.862



This entry pairs a crystal structure of TbDyHo6 with its calculated XRD peak list. Radiation: a wavelength of 1.5418 Å. Structure: a structure optimized by DFT (GGA-PBE).
No peak broadening, texture or thermal motion is included.

Top 10 peaks for 2θ from 10° to 90°, by angle:
| 2θ (°) | I/Imax |
| --- | --- |
| 28.54 | 31 |
| 30.60 | 20 |
| 30.85 | 100 |
| 32.30 | 30 |
| 34.30 | 25 |
| 34.44 | 19 |
| 35.85 | 22 |
| 44.09 | 12 |
| 54.84 | 10 |
| 57.07 | 10 |

Structural model:
Lattice parameters (Å, degrees): 6.496 6.681 6.880 61.03 76.58 89.95
Atoms (fractional coordinates):
Tb  0.000  0.000  0.000
Dy  0.500  0.000  0.000
Ho  0.230  0.574  0.520
Ho  0.250  0.547  0.999
Ho  0.270  0.095  0.478
Ho  0.730  0.905  0.522
Ho  0.750  0.453  0.001
Ho  0.770  0.426  0.480



This entry pairs a crystal structure of Tb8Dy3Ho4 with its calculated XRD peak list. Radiation: a wavelength of 1.5418 Å. Structure: a structure optimized by DFT (GGA-PBE).
No peak broadening, texture or thermal motion is included.

Top 10 peaks for 2θ from 10° to 90°, by angle:
| 2θ (°) | I/Imax |
| --- | --- |
| 26.94 | 18 |
| 30.05 | 29 |
| 30.56 | 58 |
| 31.63 | 100 |
| 36.38 | 73 |
| 51.69 | 23 |
| 53.09 | 38 |
| 61.25 | 17 |
| 62.51 | 45 |
| 87.43 | 18 |

Structural model:
Lattice parameters (Å, degrees): 12.362 12.362 12.362 32.41 32.41 32.41
Atoms (fractional coordinates):
Tb  0.245  0.245  0.245
Tb  0.248  0.751  0.751
Tb  0.249  0.249  0.752
Tb  0.249  0.752  0.249
Tb  0.751  0.248  0.751
Tb  0.751  0.751  0.248
Tb  0.752  0.249  0.249
Tb  0.755  0.755  0.755
Dy  0.000  0.000  0.500
Dy  0.000  0.500  0.000
Dy  0.500  0.000  0.000
Ho  0.000  0.000  0.000
Ho  0.336  0.336  0.336
Ho  0.500  0.500  0.500
Ho  0.664  0.664  0.664



What is the formula in the ninth record? Sm5DyY2Ho



Which formula does entry 3 have? SmDy2HoTm5



What is the formula in the ninth record? Sm5DyY2Ho